# 1
BaTcO3F: theoretical X-ray diffraction stick pattern (Cu Ka), based on the GGA-PBE geometry in Alexandria.
Peak positions follow from Bragg's law for the DFT cell and can differ from measured ones.

Structure:
Cell lengths 8.462, 11.731, 4.764 Å; angles 90.00, 110.59, 90.00 degrees
Space group C2/c (No. 15)
Asymmetric unit:
Ba 0.000 0.147 0.250
Tc 0.000 0.458 0.750
O 0.000 0.306 0.750
O 0.164 0.446 0.517
F 0.000 0.070 0.750

Peak list (10 most intense, 15° ≤ 2θ ≤ 90°, sorted by position)
15.10 deg, I 25, hkl 0 2 0; 22.45 deg, I 100, hkl 2 0 0; 25.09 deg, I 72, hkl 0 2 1; 25.40 deg, I 76, hkl 1 3 0; 28.69 deg, I 39, hkl 2 2 -1; 38.51 deg, I 27, hkl 2 2 1; 38.76 deg, I 28, hkl 2 0 -2; 43.20 deg, I 25, hkl 1 5 -1; 45.81 deg, I 30, hkl 4 0 0; 47.03 deg, I 30, hkl 1 5 1

# 2
Ba3Tm2O4F3: theoretical X-ray diffraction stick pattern (Cu Ka), based on the GGA-PBE geometry in Alexandria.
Peak positions follow from Bragg's law for the DFT cell and can differ from measured ones.

Structure:
Cell lengths 4.258, 4.284, 23.688 Å; angles 90.00, 90.00, 90.00 degrees
Space group Immm (No. 71)
Asymmetric unit:
Ba 0.000 0.000 0.000
Ba 0.000 0.000 0.198
Tm 0.000 0.000 0.398
O 0.000 0.000 0.309
O 0.000 0.500 0.414
F 0.000 0.000 0.500
F 0.000 0.500 0.079

Peak list (10 most intense, 15° ≤ 2θ ≤ 90°, sorted by position)
28.13 deg, I 100, hkl 0 1 5; 29.58 deg, I 49, hkl 1 1 0; 37.99 deg, I 16, hkl 0 0 10; 42.19 deg, I 13, hkl 0 2 0; 42.46 deg, I 13, hkl 2 0 0; 48.86 deg, I 26, hkl 1 1 10; 51.51 deg, I 19, hkl 1 2 5; 51.68 deg, I 19, hkl 2 1 5; 58.06 deg, I 9, hkl 0 2 10; 62.73 deg, I 11, hkl 1 0 15

# 3
Ba2UO4F: theoretical X-ray diffraction stick pattern (Cu Ka), based on the GGA-PBE geometry in Alexandria.
Peak positions follow from Bragg's law for the DFT cell and can differ from measured ones.

Structure:
Cell lengths 11.718, 3.642, 7.507 Å; angles 90.00, 116.84, 90.00 degrees
Space group C2/m (No. 12)
Asymmetric unit:
Ba 0.180 0.000 0.188
U 0.000 0.000 0.500
O 0.102 0.500 0.451
O 0.143 0.000 0.785
F 0.000 0.500 0.000

Peak list (10 most intense, 15° ≤ 2θ ≤ 90°, sorted by position)
24.24 deg, I 73, hkl 2 0 -2; 25.91 deg, I 100, hkl 2 0 1; 30.59 deg, I 30, hkl 4 0 -1; 30.94 deg, I 43, hkl 1 1 1; 33.69 deg, I 52, hkl 3 1 -1; 37.01 deg, I 31, hkl 3 1 -2; 40.39 deg, I 19, hkl 0 0 3; 45.00 deg, I 22, hkl 1 1 -3; 50.31 deg, I 17, hkl 5 1 0; 52.06 deg, I 23, hkl 3 1 2